Theoretical powder diffraction line list
Compound: K3WO6
Radiation: Cu Kα (λ = 1.5418 Å)
Structure: DFT lattice parameters and positions (GGA+U)

Principal peaks in the range 10 to 80 degrees two-theta, by angle:
2θ/deg	I_rel
15.83	30
16.82	13
17.94	100
23.18	33
27.60	60
30.03	59
41.24	33
44.35	18
48.81	16
50.35	32

Structural model:
```
data_K3WO6
_symmetry_space_group_name_H-M 'P 63 2 2'
_symmetry_Int_Tables_number 182
_symmetry_space_group_name_Hall 'P 6c 2c'
_cell_length_a 6.4630
_cell_length_b 6.4630
_cell_length_c 10.5424
_cell_angle_alpha 90.00
_cell_angle_beta 90.00
_cell_angle_gamma 120.00
loop_
_atom_site_label
_atom_site_fract_x
_atom_site_fract_y
_atom_site_fract_z
_atom_site_occupancy
K1 0.0000 0.0000 0.0000 1
K2 0.3333 0.6667 0.0855 1
W1 0.3333 0.6667 0.7500 1
O1 0.1149 0.4003 0.6448 1
```